Diffraction record for ErAgSeO. The powder X-ray diffraction pattern is computed, not measured: it uses a crystal structure in OQMD, relaxed with PBE and Cu Kα.
Peak positions follow from Bragg's law for the DFT cell and can differ from measured ones.

Most intense lines, 2θ = 5–70°, by angle:
- 7.96 deg, intensity 884
- 22.10 deg, intensity 543
- 27.04 deg, intensity 675
- 27.72 deg, intensity 665
- 32.21 deg, intensity 214
- 32.47 deg, intensity 1000
- 33.32 deg, intensity 597
- 40.64 deg, intensity 353
- 45.08 deg, intensity 557
- 45.66 deg, intensity 262

Cell and atoms:
a b c (Å): 5.691 5.689 11.108
angles (deg): 90.00 92.08 90.00
Sites, in units of the cell vectors:
Er1 0.005 0.000 0.091
Er2 0.494 0.000 0.908
Er3 0.506 0.500 0.092
Er4 0.995 0.500 0.909
Ag1 0.188 0.275 0.496
Ag2 0.499 0.020 0.287
Ag3 0.501 0.520 0.713
Ag4 0.812 0.775 0.504
Se1 0.192 0.322 0.274
Se2 0.197 0.218 0.718
Se3 0.803 0.718 0.282
Se4 0.808 0.822 0.726
O1 0.250 0.749 0.000
O2 0.252 0.248 0.999
O3 0.748 0.748 0.001
O4 0.750 0.249 0.000

---

Diffraction record for TbErAg2O4. The powder X-ray diffraction pattern is computed, not measured: it uses a crystal structure in OQMD, relaxed with PBE and Cu Kα.
Peak positions follow from Bragg's law for the DFT cell and can differ from measured ones.

Most intense lines, 2θ = 5–70°, by angle:
- 14.20 deg, intensity 126
- 28.61 deg, intensity 362
- 29.65 deg, intensity 115
- 30.52 deg, intensity 360
- 33.01 deg, intensity 1000
- 41.67 deg, intensity 156
- 52.61 deg, intensity 274
- 53.54 deg, intensity 308
- 60.98 deg, intensity 258
- 63.53 deg, intensity 152

Cell and atoms:
a b c (Å): 3.479 3.479 12.478
angles (deg): 90.00 90.00 120.00
Sites, in units of the cell vectors:
Tb1 0.000 0.000 0.000
Er1 0.000 0.000 0.500
Ag1 0.333 0.667 0.748
Ag2 0.667 0.333 0.252
O1 0.333 0.667 0.583
O2 0.333 0.667 0.914
O3 0.667 0.333 0.086
O4 0.667 0.333 0.417

---

Diffraction record for ErAgP2Se6. The powder X-ray diffraction pattern is computed, not measured: it uses a crystal structure in OQMD, relaxed with PBE and Cu Kα.
Peak positions follow from Bragg's law for the DFT cell and can differ from measured ones.

Most intense lines, 2θ = 5–70°, by angle:
- 12.36 deg, intensity 461
- 19.79 deg, intensity 81
- 24.22 deg, intensity 86
- 29.63 deg, intensity 1000
- 36.90 deg, intensity 495
- 46.86 deg, intensity 219
- 47.37 deg, intensity 319
- 49.15 deg, intensity 84
- 56.87 deg, intensity 145
- 61.51 deg, intensity 105

Cell and atoms:
a b c (Å): 6.648 6.648 14.322
angles (deg): 90.00 90.00 120.00
Sites, in units of the cell vectors:
Er1 0.000 0.000 0.250
Er2 0.000 0.000 0.750
Ag1 0.333 0.667 0.250
Ag2 0.667 0.333 0.750
P1 0.333 0.667 0.671
P2 0.333 0.667 0.829
P3 0.667 0.333 0.171
P4 0.667 0.333 0.329
Se1 0.021 0.343 0.624
Se2 0.021 0.678 0.876
Se3 0.322 0.343 0.876
Se4 0.322 0.979 0.624
Se5 0.343 0.021 0.124
Se6 0.343 0.322 0.376
Se7 0.657 0.678 0.624
Se8 0.657 0.979 0.876
Se9 0.678 0.021 0.376
Se10 0.678 0.657 0.124
Se11 0.979 0.322 0.124
Se12 0.979 0.657 0.376

---

Diffraction record for Tb2ErTl3AgPd2. The powder X-ray diffraction pattern is computed, not measured: it uses a crystal structure in OQMD, relaxed with PBE and Cu Kα.
Peak positions follow from Bragg's law for the DFT cell and can differ from measured ones.

Most intense lines, 2θ = 5–70°, by angle:
- 32.80 deg, intensity 1000
- 34.56 deg, intensity 445
- 35.37 deg, intensity 628
- 39.37 deg, intensity 428
- 42.29 deg, intensity 177
- 47.76 deg, intensity 119
- 48.33 deg, intensity 184
- 53.94 deg, intensity 110
- 60.76 deg, intensity 179
- 64.05 deg, intensity 523

Cell and atoms:
a b c (Å): 3.767 7.927 7.927
angles (deg): 119.96 90.00 90.00
Sites, in units of the cell vectors:
Tb1 0.000 0.203 0.797
Tb2 0.000 0.797 0.203
Er1 0.000 0.610 0.610
Tl1 0.500 0.203 0.477
Tl2 0.500 0.477 0.203
Tl3 0.500 0.929 0.929
Ag1 0.000 0.204 0.204
Pd1 0.500 0.537 0.868
Pd2 0.500 0.868 0.537

---

Diffraction record for PrErAg2Sn2. The powder X-ray diffraction pattern is computed, not measured: it uses a crystal structure in OQMD, relaxed with PBE and Cu Kα.
Peak positions follow from Bragg's law for the DFT cell and can differ from measured ones.

Most intense lines, 2θ = 5–70°, by angle:
- 24.65 deg, intensity 80
- 32.31 deg, intensity 1000
- 37.79 deg, intensity 757
- 42.35 deg, intensity 141
- 48.68 deg, intensity 61
- 50.55 deg, intensity 284
- 63.22 deg, intensity 168
- 64.81 deg, intensity 269
- 66.47 deg, intensity 63
- 68.24 deg, intensity 133

Cell and atoms:
a b c (Å): 4.761 4.761 7.482
angles (deg): 90.00 90.00 120.00
Sites, in units of the cell vectors:
Pr1 0.000 0.000 0.000
Er1 0.000 0.000 0.502
Ag1 0.333 0.667 0.214
Ag2 0.667 0.333 0.684
Sn1 0.333 0.667 0.772
Sn2 0.667 0.333 0.286

---

Diffraction record for SrErAgSe2S. The powder X-ray diffraction pattern is computed, not measured: it uses a crystal structure in OQMD, relaxed with PBE and Cu Kα.
Peak positions follow from Bragg's law for the DFT cell and can differ from measured ones.

Most intense lines, 2θ = 5–70°, by angle:
- 12.95 deg, intensity 514
- 28.28 deg, intensity 354
- 29.09 deg, intensity 286
- 30.36 deg, intensity 399
- 33.93 deg, intensity 1000
- 34.37 deg, intensity 174
- 34.57 deg, intensity 356
- 43.30 deg, intensity 556
- 43.58 deg, intensity 289
- 56.77 deg, intensity 187

Cell and atoms:
a b c (Å): 7.146 7.146 10.380
angles (deg): 90.00 90.00 146.21
Sites, in units of the cell vectors:
Sr1 0.242 0.758 0.750
Sr2 0.758 0.242 0.250
Er1 0.500 0.500 0.000
Er2 0.500 0.500 0.500
Ag1 0.027 0.973 0.250
Ag2 0.973 0.027 0.750
Se1 0.143 0.857 0.051
Se2 0.143 0.857 0.449
Se3 0.857 0.143 0.551
Se4 0.857 0.143 0.949
S1 0.418 0.582 0.250
S2 0.582 0.418 0.750